# 1
Starting from a cell relaxed with GGA-PBE, the powder diffraction line list of SrMgF4 was calculated for a wavelength of 1.5418 Å.

The 10 most intense peaks (2θ = 5–70°), sorted by position:
index	2θ/deg	d_spacing	I_rel
0 2 1	19.79	4.487	48
0 4 0	24.38	3.651	36
1 1 1	27.97	3.189	100
1 3 0	28.92	3.088	35
0 4 1	29.06	3.073	63
0 0 2	31.46	2.844	23
1 5 1	41.46	2.178	61
1 3 2	43.25	2.092	78
2 0 0	45.42	1.997	40
0 8 1	52.65	1.738	28

Crystal structure
```
data_SrMgF4
_chemical_formula_sum 'Sr4 Mg4 F16'
_cell_length_a 3.994
_cell_length_b 14.605
_cell_length_c 5.687
_cell_angle_alpha 90.00
_cell_angle_beta 90.00
_cell_angle_gamma 90.00
_space_group_name_H-M_alt 'C m c 21'
_space_group_IT_number 36
_space_group_name_Hall 'C 2c -2'
loop_
_atom_site_label
_atom_site_fract_x
_atom_site_fract_y
_atom_site_fract_z
Sr1 0.000 0.157 0.000
Mg1 0.000 0.416 0.051
F1 0.000 0.084 0.569
F2 0.000 0.298 0.244
F3 0.000 0.338 0.766
F4 0.000 0.466 0.386
```


# 2
Starting from a cell relaxed with GGA-PBE, the powder diffraction line list of MgTiF5 was calculated for a wavelength of 1.5418 Å.

The 10 most intense peaks (2θ = 5–70°), sorted by position:
index	2θ/deg	d_spacing	I_rel
1 1 0	18.08	4.906	18
2 0 0	22.95	3.875	91
2 0 -2	26.43	3.373	16
1 1 -2	27.67	3.224	100
0 2 0	28.16	3.168	37
4 0 0	46.89	1.938	38
2 0 -4	48.62	1.873	22
1 3 -2	49.54	1.840	48
5 1 -2	55.26	1.662	32
2 2 -4	57.13	1.612	14

Crystal structure
```
data_MgTiF5
_chemical_formula_sum 'Mg4 Ti4 F20'
_cell_length_a 8.618
_cell_length_b 6.337
_cell_length_c 7.491
_cell_angle_alpha 90.00
_cell_angle_beta 115.94
_cell_angle_gamma 90.00
_space_group_name_H-M_alt 'C 1 2/c 1'
_space_group_IT_number 15
_space_group_name_Hall '-C 2yc'
loop_
_atom_site_label
_atom_site_fract_x
_atom_site_fract_y
_atom_site_fract_z
Mg1 0.000 0.023 0.250
Ti1 0.000 0.500 0.000
F1 0.000 0.363 0.250
F2 0.011 0.191 0.950
F3 0.246 0.476 0.628
```


# 3
Starting from a cell relaxed with GGA-PBE, the powder diffraction line list of MgTiF4 was calculated for a wavelength of 1.5418 Å.

The 10 most intense peaks (2θ = 5–70°), sorted by position:
index	2θ/deg	d_spacing	I_rel
0 0 1	17.34	5.113	6
1 0 0	24.71	3.603	6
1 0 1	30.35	2.945	77
1 1 1	39.52	2.280	4
1 0 2	43.40	2.085	2
2 0 0	50.61	1.804	100
2 1 0	57.17	1.611	1
1 0 3	60.05	1.541	10
2 1 1	60.22	1.537	19
2 1 2	68.88	1.363	1

Crystal structure
```
data_MgTiF4
_chemical_formula_sum 'Mg1 Ti1 F4'
_cell_length_a 3.603
_cell_length_b 3.603
_cell_length_c 5.113
_cell_angle_alpha 90.00
_cell_angle_beta 90.00
_cell_angle_gamma 90.00
_space_group_name_H-M_alt 'P 4/m m m'
_space_group_IT_number 123
_space_group_name_Hall '-P 4 2'
loop_
_atom_site_label
_atom_site_fract_x
_atom_site_fract_y
_atom_site_fract_z
Mg1 0.000 0.000 0.000
Ti1 0.500 0.500 0.500
F1 0.000 0.500 0.245
```


# 4
Starting from a cell relaxed with GGA-PBE, the powder diffraction line list of MgTiF6 was calculated for a wavelength of 1.5418 Å.

The 10 most intense peaks (2θ = 5–70°), sorted by position:
index	2θ/deg	d_spacing	I_rel
1 0 1	20.51	4.331	11
0 1 2	23.50	3.786	100
1 0 4	32.99	2.715	8
1 1 3	39.58	2.277	27
0 2 4	48.07	1.893	26
1 1 6	53.50	1.713	29
1 2 2	54.83	1.674	12
2 1 4	60.15	1.538	5
3 0 0	60.76	1.524	7
2 0 8	69.20	1.358	7

Crystal structure
```
data_MgTiF6
_chemical_formula_sum 'Mg3 Ti3 F18'
_cell_length_a 5.2807
_cell_length_b 5.2807
_cell_length_c 13.4969
_cell_angle_alpha 90.00
_cell_angle_beta 90.00
_cell_angle_gamma 120.00
_space_group_name_H-M_alt 'R -3'
_space_group_IT_number 148
_space_group_name_Hall '-R 3'
loop_
_atom_site_label
_atom_site_fract_x
_atom_site_fract_y
_atom_site_fract_z
Mg1 0.0000 0.0000 0.0000
Ti1 0.0000 0.0000 0.5000
F1 0.0118 0.5924 0.2478
```


# 5
Starting from a cell relaxed with GGA-PBE, the powder diffraction line list of MgTiF5 was calculated for a wavelength of 1.5418 Å.

The 10 most intense peaks (2θ = 5–70°), sorted by position:
index	2θ/deg	d_spacing	I_rel
1 1 0	20.02	4.435	49
1 2 0	25.52	3.491	100
0 1 2	26.96	3.307	61
1 1 -2	27.31	3.265	52
1 2 -3	41.09	2.197	19
1 3 2	45.65	1.988	16
2 3 0	45.86	1.979	37
1 0 -4	48.91	1.862	26
1 4 2	52.23	1.751	26
2 4 -2	52.84	1.733	24

Crystal structure
```
data_MgTiF5
_chemical_formula_sum 'Mg4 Ti4 F20'
_cell_length_a 5.274
_cell_length_b 9.802
_cell_length_c 7.451
_cell_angle_alpha 90.00
_cell_angle_beta 109.42
_cell_angle_gamma 90.00
_space_group_name_H-M_alt 'P 1 21/c 1'
_space_group_IT_number 14
_space_group_name_Hall '-P 2ybc'
loop_
_atom_site_label
_atom_site_fract_x
_atom_site_fract_y
_atom_site_fract_z
Mg1 0.019 0.010 0.247
Ti1 0.404 0.246 0.605
F1 0.111 0.110 0.580
F2 0.145 0.106 0.991
F3 0.281 0.635 0.338
F4 0.320 0.178 0.333
F5 0.343 0.599 0.804
```